Entry 1:
The following is a simulated powder XRD pattern of Ba2LiZnCd6. It was derived from a PBE-relaxed structure, using Cu Kα (λ = 1.5418 Å).
Peak positions follow from Bragg's law for the DFT cell and can differ from measured ones.

Structural model:
Cell lengths 7.3843, 7.3843, 7.3267 Å; angles 119.58, 119.58, 90.31 degrees
Fractional coordinates of all 10 atoms:
1 Ba 0.2070 0.7930 0.0000
2 Ba 0.7930 0.2070 0.0000
3 Li 0.5000 0.5000 0.5000
4 Zn 0.0000 0.0000 0.5000
5 Cd 0.2553 0.7447 0.5000
6 Cd 0.2976 0.2976 0.0074
7 Cd 0.2979 0.2979 0.5882
8 Cd 0.7021 0.7021 0.4118
9 Cd 0.7024 0.7024 0.9926
10 Cd 0.7447 0.2553 0.5000

The 10 most intense peaks (5° ≤ 2θ ≤ 70°), by angle:
2θ/deg  d/Å  I/Imax
28.32  3.151  31
29.46  3.032  97
29.77  3.002  100
34.27  2.617  90
34.45  2.603  45
37.29  2.412  24
49.24  1.850  23
49.37  1.846  23
51.72  1.768  15
51.80  1.765  15

Entry 2:
The following is a simulated powder XRD pattern of Tl2GaSbSe4. It was derived from a PBE-relaxed structure, using Cu Kα (λ = 1.5418 Å).
Peak positions follow from Bragg's law for the DFT cell and can differ from measured ones.

Structural model:
Cell lengths 6.7504, 6.7504, 6.7504 Å; angles 105.59, 105.59, 117.56 degrees
Fractional coordinates of all 8 atoms:
1 Tl 0.0000 0.5000 0.5000
2 Tl 0.5000 0.0000 0.5000
3 Ga 0.0000 0.0000 0.0000
4 Sb 0.5000 0.5000 0.0000
5 Se 0.0451 0.3849 0.0000
6 Se 0.3849 0.0451 0.0000
7 Se 0.6151 0.6151 0.6602
8 Se 0.9549 0.9549 0.3398

The 10 most intense peaks (5° ≤ 2θ ≤ 70°), by angle:
2θ/deg  d/Å  I/Imax
21.77  4.082  47
27.56  3.237  35
29.86  2.992  21
30.98  2.886  52
33.74  2.657  100
34.75  2.582  21
40.51  2.227  29
49.96  1.825  26
51.86  1.763  27
56.89  1.618  23

> What is the formula in the second record?

Tl2GaSbSe4